No. 1
# Nd2GaSiCl2
Simulated X-ray diffraction stick pattern, Cu Kα, 1.54184 Å. Input: DFT lattice parameters and positions (GGA-PBE).
Kinematic intensities with the Lorentz-polarization factor, no thermal factor.

Cell and atoms:
Cell lengths 4.0995, 4.0995, 11.2221 Å; angles 90.00, 90.00, 120.00 degrees
Element x y z (fractional)
Nd (0.0000, 0.0000, 0.0000)
Nd (0.0000, 0.0000, 0.3762)
Ga (0.3333, 0.6667, 0.2073)
Si (0.6667, 0.3333, 0.1701)
Cl (0.3333, 0.6667, 0.8509)
Cl (0.6667, 0.3333, 0.5261)

Peak list (6 most intense, 5 to 70 degrees two-theta, low angle first)
- d 11.222, 2θ = 7.88°, I 100
- d 3.550, 2θ = 25.08°, I 31
- d 3.000, 2θ = 29.78°, I 63
- d 2.575, 2θ = 34.84°, I 80
- d 2.050, 2θ = 44.19°, I 35
- d 1.604, 2θ = 57.46°, I 19

---

No. 2
# La2Sm2Se3O4
Simulated X-ray diffraction stick pattern, Cu Kα, 1.54184 Å. Input: DFT lattice parameters and positions (GGA-PBE).
Kinematic intensities with the Lorentz-polarization factor, no thermal factor.

Cell and atoms:
Cell lengths 8.4587, 6.7569, 6.7569 Å; angles 34.56, 90.00, 90.00 degrees
Element x y z (fractional)
La (0.2382, 0.0000, 0.0000)
La (0.7618, 0.0000, 0.0000)
Sm (0.0000, 0.3168, 0.3168)
Sm (0.5000, 0.3321, 0.3321)
Se (0.0000, 0.6328, 0.6328)
Se (0.3518, 0.6765, 0.6765)
Se (0.6482, 0.6765, 0.6765)
O (0.0000, 0.9020, 0.9020)
O (0.2441, 0.4010, 0.4010)
O (0.5000, 0.9284, 0.9284)
O (0.7559, 0.4010, 0.4010)

Peak list (6 most intense, 5 to 70 degrees two-theta, low angle first)
- d 3.537, 2θ = 25.18°, I 55
- d 2.935, 2θ = 30.46°, I 100
- d 2.840, 2θ = 31.50°, I 54
- d 2.565, 2θ = 34.98°, I 28
- d 2.008, 2θ = 45.16°, I 27
- d 1.931, 2θ = 47.05°, I 23

---

No. 3
# K3H2OsC4SN4O3
Simulated X-ray diffraction stick pattern, Cu Kα, 1.54184 Å. Input: DFT lattice parameters and positions (GGA-PBE).
Kinematic intensities with the Lorentz-polarization factor, no thermal factor.

Cell and atoms:
Cell lengths 7.9147, 8.7677, 8.9131 Å; angles 83.49, 63.74, 81.45 degrees
Element x y z (fractional)
K (0.0074, 0.2517, 0.0803)
K (0.2284, 0.3762, 0.5713)
K (0.2335, 0.8501, 0.4368)
K (0.7665, 0.1499, 0.5632)
K (0.7716, 0.6238, 0.4287)
K (0.9926, 0.7483, 0.9197)
H (0.0457, 0.0428, 0.7773)
H (0.2587, 0.0411, 0.7366)
H (0.7413, 0.9589, 0.2634)
H (0.9543, 0.9572, 0.2227)
Os (0.4967, 0.3401, 0.0595)
Os (0.5033, 0.6599, 0.9405)
C (0.2945, 0.2193, 0.2347)
C (0.3123, 0.8465, 0.0027)
C (0.4133, 0.6331, 0.7631)
C (0.4202, 0.2845, 0.8852)
C (0.5798, 0.7155, 0.1148)
C (0.5867, 0.3669, 0.2369)
C (0.6877, 0.1535, 0.9973)
C (0.7055, 0.7807, 0.7653)
S (0.2479, 0.5427, 0.1573)
S (0.7521, 0.4573, 0.8427)
N (0.1628, 0.1620, 0.3386)
N (0.1855, 0.9458, 0.0482)
N (0.3566, 0.6368, 0.6603)
N (0.3815, 0.2384, 0.7861)
N (0.6185, 0.7616, 0.2139)
N (0.6434, 0.3632, 0.3397)
N (0.8145, 0.0542, 0.9518)
N (0.8372, 0.8380, 0.6614)
O (0.0783, 0.5342, 0.1269)
O (0.1756, 0.0290, 0.6849)
O (0.1841, 0.5896, 0.3319)
O (0.8159, 0.4104, 0.6681)
O (0.8244, 0.9710, 0.3151)
O (0.9217, 0.4658, 0.8731)

Peak list (6 most intense, 5 to 70 degrees two-theta, low angle first)
- d 8.658, 2θ = 10.22°, I 61
- d 7.982, 2θ = 11.09°, I 80
- d 7.020, 2θ = 12.61°, I 100
- d 6.032, 2θ = 14.69°, I 30
- d 5.916, 2θ = 14.97°, I 28
- d 2.764, 2θ = 32.39°, I 40

---

No. 4
# BiIr17
Simulated X-ray diffraction stick pattern, Cu Kα, 1.54184 Å. Input: DFT lattice parameters and positions (GGA-PBE).
Kinematic intensities with the Lorentz-polarization factor, no thermal factor.

Cell and atoms:
Cell lengths 4.7079, 5.4458, 33.5619 Å; angles 90.00, 90.01, 90.00 degrees
Element x y z (fractional)
Bi (0.1695, 0.2500, 0.3026)
Bi (0.8305, 0.7500, 0.6974)
Ir (0.0000, 0.0000, 0.0000)
Ir (0.9996, 0.0028, 0.2000)
Ir (0.9996, 0.4972, 0.2000)
Ir (0.0000, 0.5000, 0.0000)
Ir (0.0004, 0.5028, 0.8000)
Ir (0.0004, 0.9972, 0.8000)
Ir (0.1660, 0.7500, 0.0666)
Ir (0.1667, 0.2500, 0.0672)
Ir (0.1673, 0.7500, 0.8660)
Ir (0.1691, 0.2500, 0.8664)
Ir (0.1700, 0.7500, 0.2658)
Ir (0.3321, 0.0000, 0.1338)
Ir (0.3321, 0.5000, 0.1338)
Ir (0.3330, 0.0004, 0.9330)
Ir (0.3327, 0.0006, 0.7347)
Ir (0.3327, 0.4994, 0.7347)
Ir (0.3330, 0.4996, 0.9330)
Ir (0.4977, 0.2500, 0.2009)
Ir (0.4980, 0.7500, 0.2007)
Ir (0.5000, 0.2500, 0.0000)
Ir (0.5000, 0.7500, 0.0000)
Ir (0.5020, 0.2500, 0.7993)
Ir (0.5023, 0.7500, 0.7991)
Ir (0.6670, 0.9996, 0.0670)
Ir (0.6670, 0.5004, 0.0670)
Ir (0.6673, 0.5006, 0.2653)
Ir (0.6673, 0.9994, 0.2653)
Ir (0.6679, 0.0000, 0.8662)
Ir (0.6679, 0.5000, 0.8662)
Ir (0.8300, 0.2500, 0.7342)
Ir (0.8309, 0.7500, 0.1336)
Ir (0.8327, 0.2500, 0.1340)
Ir (0.8333, 0.7500, 0.9328)
Ir (0.8340, 0.2500, 0.9334)

Peak list (6 most intense, 5 to 70 degrees two-theta, low angle first)
- d 16.781, 2θ = 5.27°, I 89
- d 2.268, 2θ = 39.74°, I 37
- d 2.237, 2θ = 40.31°, I 28
- d 2.223, 2θ = 40.58°, I 100
- d 1.992, 2θ = 45.54°, I 25
- d 1.928, 2θ = 47.13°, I 57

---

No. 5
# Li2PdS2
Simulated X-ray diffraction stick pattern, Cu Kα, 1.54184 Å. Input: DFT lattice parameters and positions (GGA-PBE).
Kinematic intensities with the Lorentz-polarization factor, no thermal factor.

Cell and atoms:
Cell lengths 4.8312, 4.8312, 10.2629 Å; angles 90.00, 90.00, 137.36 degrees
Element x y z (fractional)
Li (0.0637, 0.9363, 0.5000)
Li (0.3260, 0.6740, 0.2853)
Li (0.6740, 0.3260, 0.7853)
Li (0.9363, 0.0637, 0.0000)
Pd (0.3608, 0.6392, 0.6197)
Pd (0.6392, 0.3608, 0.1197)
S (0.0437, 0.9563, 0.2489)
S (0.2343, 0.7657, 0.9887)
S (0.7657, 0.2343, 0.4887)
S (0.9563, 0.0437, 0.7489)

Peak list (6 most intense, 5 to 70 degrees two-theta, low angle first)
- d 5.131, 2θ = 17.28°, I 61
- d 4.122, 2θ = 21.56°, I 100
- d 2.759, 2θ = 32.45°, I 27
- d 2.723, 2θ = 32.89°, I 22
- d 2.365, 2θ = 38.05°, I 45
- d 2.019, 2θ = 44.89°, I 22

---

No. 6
# Na2NiH14N6
Simulated X-ray diffraction stick pattern, Cu Kα, 1.54184 Å. Input: DFT lattice parameters and positions (GGA-PBE).
Kinematic intensities with the Lorentz-polarization factor, no thermal factor.

Cell and atoms:
Cell lengths 7.9230, 7.9230, 7.9230 Å; angles 114.48, 114.48, 99.86 degrees
Element x y z (fractional)
Na (0.1235, 0.7768, 0.9003)
Na (0.2232, 0.1235, 0.3467)
Na (0.7768, 0.8765, 0.6533)
Na (0.8765, 0.2232, 0.0997)
Ni (0.1967, 0.1967, 0.0000)
Ni (0.8033, 0.8033, 0.0000)
H (0.0214, 0.4024, 0.9240)
H (0.0708, 0.7985, 0.3111)
H (0.0974, 0.0214, 0.6190)
H (0.1500, 0.4249, 0.5749)
H (0.2015, 0.5127, 0.2723)
H (0.2151, 0.4223, 0.7993)
H (0.2404, 0.9292, 0.7277)
H (0.3770, 0.5842, 0.7993)
H (0.4024, 0.4785, 0.3810)
H (0.4158, 0.2151, 0.7927)
H (0.4223, 0.6230, 0.2073)
H (0.4249, 0.8500, 0.2749)
H (0.4785, 0.0974, 0.0760)
H (0.4873, 0.7596, 0.6889)
H (0.5127, 0.2404, 0.3111)
H (0.5215, 0.9026, 0.9240)
H (0.5751, 0.1500, 0.7251)
H (0.5777, 0.3770, 0.7927)
H (0.5842, 0.7849, 0.2073)
H (0.5976, 0.5215, 0.6190)
H (0.6230, 0.4158, 0.2007)
H (0.7596, 0.0708, 0.2723)
H (0.7849, 0.5777, 0.2007)
H (0.7985, 0.4873, 0.7277)
H (0.8500, 0.5751, 0.4251)
H (0.9026, 0.9786, 0.3810)
H (0.9292, 0.2015, 0.6889)
H (0.9786, 0.5976, 0.0760)
N (0.0302, 0.7529, 0.1527)
N (0.1225, 0.9698, 0.7227)
N (0.2259, 0.5176, 0.7435)
N (0.2471, 0.3998, 0.2773)
N (0.3998, 0.1225, 0.1527)
N (0.4824, 0.2259, 0.7083)
N (0.5176, 0.7741, 0.2917)
N (0.6002, 0.8775, 0.8473)
N (0.7529, 0.6002, 0.7227)
N (0.7741, 0.4824, 0.2565)
N (0.8775, 0.0302, 0.2773)
N (0.9698, 0.2471, 0.8473)

Peak list (6 most intense, 5 to 70 degrees two-theta, low angle first)
- d 6.564, 2θ = 13.49°, I 61
- d 6.063, 2θ = 14.61°, I 100
- d 3.903, 2θ = 22.78°, I 39
- d 3.282, 2θ = 27.17°, I 31
- d 3.161, 2θ = 28.23°, I 42
- d 2.394, 2θ = 37.57°, I 32

---

No. 7
# Dy6YNi2S2
Simulated X-ray diffraction stick pattern, Cu Kα, 1.54184 Å. Input: DFT lattice parameters and positions (GGA-PBE).
Kinematic intensities with the Lorentz-polarization factor, no thermal factor.

Cell and atoms:
Cell lengths 8.9388, 8.9388, 8.9388 Å; angles 155.74, 67.36, 118.24 degrees
Element x y z (fractional)
Dy (0.1187, 0.0000, 0.1187)
Dy (0.2116, 0.8456, 0.3660)
Dy (0.4796, 0.8456, 0.6340)
Dy (0.5202, 0.2058, 0.3144)
Dy (0.8813, 0.0000, 0.8813)
Dy (0.8915, 0.2058, 0.6856)
Y (0.5996, 0.5996, 0.0000)
Ni (0.2688, 0.5092, 0.7596)
Ni (0.7497, 0.5092, 0.2404)
S (0.2532, 0.2532, 0.0000)
S (0.8445, 0.3445, 0.5000)

Peak list (6 most intense, 5 to 70 degrees two-theta, low angle first)
- d 2.995, 2θ = 29.83°, I 63
- d 2.853, 2θ = 31.36°, I 60
- d 2.830, 2θ = 31.61°, I 39
- d 2.603, 2θ = 34.45°, I 54
- d 2.540, 2θ = 35.34°, I 100
- d 2.508, 2θ = 35.81°, I 54

---

No. 8
# Zr4Ta2Al3C3
Simulated X-ray diffraction stick pattern, Cu Kα, 1.54184 Å. Input: DFT lattice parameters and positions (GGA-PBE).
Kinematic intensities with the Lorentz-polarization factor, no thermal factor.

Cell and atoms:
Cell lengths 5.6335, 5.6335, 14.5601 Å; angles 101.23, 101.23, 60.07 degrees
Element x y z (fractional)
Zr (0.0361, 0.1936, 0.0935)
Zr (0.1307, 0.3018, 0.4064)
Zr (0.1936, 0.0361, 0.5935)
Zr (0.3018, 0.1307, 0.9064)
Zr (0.6982, 0.8693, 0.0936)
Zr (0.8064, 0.9639, 0.4065)
Zr (0.8693, 0.6982, 0.5936)
Zr (0.9639, 0.8064, 0.9065)
Ta (0.3560, 0.5267, 0.0808)
Ta (0.4733, 0.6440, 0.4192)
Ta (0.5267, 0.3560, 0.5808)
Ta (0.6440, 0.4733, 0.9192)
Al (0.1254, 0.8746, 0.2500)
Al (0.2879, 0.4189, 0.7513)
Al (0.4189, 0.2879, 0.2513)
Al (0.5811, 0.7121, 0.7487)
Al (0.7121, 0.5811, 0.2487)
Al (0.8746, 0.1254, 0.7500)
C (0.0000, 0.5000, 0.0000)
C (0.1766, 0.6618, 0.4999)
C (0.3382, 0.8234, 0.0001)
C (0.5000, 0.0000, 0.5000)
C (0.6618, 0.1766, 0.9999)
C (0.8234, 0.3382, 0.5001)

Peak list (6 most intense, 5 to 70 degrees two-theta, low angle first)
- d 7.094, 2θ = 12.48°, I 59
- d 2.818, 2θ = 31.76°, I 32
- d 2.764, 2θ = 32.39°, I 31
- d 2.422, 2θ = 37.12°, I 100
- d 2.418, 2θ = 37.18°, I 48
- d 1.627, 2θ = 56.57°, I 30

---

No. 9
# Sm3Pt2
Simulated X-ray diffraction stick pattern, Cu Kα, 1.54184 Å. Input: DFT lattice parameters and positions (GGA-PBE).
Kinematic intensities with the Lorentz-polarization factor, no thermal factor.

Cell and atoms:
Cell lengths 7.5885, 7.5885, 7.5885 Å; angles 71.40, 71.40, 71.40 degrees
Element x y z (fractional)
Sm (0.0000, 0.0000, 0.0000)
Sm (0.1645, 0.3979, 0.6617)
Sm (0.1998, 0.1998, 0.1998)
Sm (0.3383, 0.8355, 0.6021)
Sm (0.3979, 0.6617, 0.1645)
Sm (0.6021, 0.3383, 0.8355)
Sm (0.6617, 0.1645, 0.3979)
Sm (0.8002, 0.8002, 0.8002)
Sm (0.8355, 0.6021, 0.3383)
Pt (0.0435, 0.8330, 0.4113)
Pt (0.1670, 0.5887, 0.9565)
Pt (0.4113, 0.0435, 0.8330)
Pt (0.5887, 0.9565, 0.1670)
Pt (0.8330, 0.4113, 0.0435)
Pt (0.9565, 0.1670, 0.5887)

Peak list (6 most intense, 5 to 70 degrees two-theta, low angle first)
- d 2.857, 2θ = 31.31°, I 43
- d 2.803, 2θ = 31.92°, I 42
- d 2.741, 2θ = 32.67°, I 100
- d 2.557, 2θ = 35.10°, I 71
- d 2.387, 2θ = 37.69°, I 70
- d 2.369, 2θ = 37.99°, I 75

---

No. 10
# K2Nb2Ni3
Simulated X-ray diffraction stick pattern, Cu Kα, 1.54184 Å. Input: DFT lattice parameters and positions (GGA-PBE).
Kinematic intensities with the Lorentz-polarization factor, no thermal factor.

Cell and atoms:
Cell lengths 12.1458, 12.1458, 12.1458 Å; angles 20.05, 20.05, 20.05 degrees
Element x y z (fractional)
K (0.0000, 0.0000, 0.0000)
K (0.4351, 0.4351, 0.4351)
Nb (0.1951, 0.1951, 0.1951)
Nb (0.5872, 0.5872, 0.5872)
Ni (0.2650, 0.2650, 0.2650)
Ni (0.5193, 0.5193, 0.5193)
Ni (0.8909, 0.8909, 0.8909)

Peak list (6 most intense, 5 to 70 degrees two-theta, low angle first)
- d 11.898, 2θ = 7.43°, I 100
- d 2.974, 2θ = 30.04°, I 6
- d 2.556, 2θ = 35.11°, I 6
- d 2.197, 2θ = 41.09°, I 7
- d 2.114, 2θ = 42.77°, I 13
- d 2.082, 2θ = 43.47°, I 9